(1)
This entry pairs a crystal structure of Nd3TePt with its computed PXRD pattern. Radiation: Cu Ka. Structure: a GGA-PBE-relaxed structure.
No peak broadening, texture or thermal motion is included.

Atomic structure:
```
Nd3TePt
1.0
8.3222 0.0000 0.0000
0.0000 4.2265 0.0000
-2.3188 0.0000 8.5737
Nd Te Pt
6 2 2
direct
0.0747 0.2500 0.2529 Nd
0.3069 0.2500 0.9405 Nd
0.3209 0.7500 0.5935 Nd
0.6791 0.2500 0.4065 Nd
0.6931 0.7500 0.0595 Nd
0.9253 0.7500 0.7471 Nd
0.3844 0.7500 0.2355 Te
0.6156 0.2500 0.7645 Te
0.0797 0.2500 0.6087 Pt
0.9203 0.7500 0.3913 Pt
```

Peak list (6 most intense, 10° ≤ 2θ ≤ 90°, low angle first)
| two_theta | I (rel.) |
| --- | --- |
| 12.99 | 576 |
| 30.71 | 962 |
| 33.78 | 1000 |
| 36.00 | 547 |
| 37.20 | 772 |
| 42.79 | 623 |

(2)
This entry pairs a crystal structure of Ag12PtAu6 with its computed PXRD pattern. Radiation: Cu Ka. Structure: a GGA-PBE-relaxed structure.
No peak broadening, texture or thermal motion is included.

Atomic structure:
```
Ag12PtAu6
1.0
4.9798 2.8751 4.0995
-4.9798 2.8751 4.0995
0.0000 -5.7502 4.0995
Ag Pt Au
12 1 6
direct
0.0257 0.9405 0.2983 Ag
0.0595 0.7017 0.9743 Ag
0.1274 0.4623 0.3421 Ag
0.2983 0.0257 0.9405 Ag
0.3421 0.1274 0.4623 Ag
0.4623 0.3421 0.1274 Ag
0.5377 0.6579 0.8726 Ag
0.6579 0.8726 0.5377 Ag
0.7017 0.9743 0.0595 Ag
0.8726 0.5377 0.6579 Ag
0.9405 0.2983 0.0257 Ag
0.9743 0.0595 0.7017 Ag
0.5000 0.5000 0.5000 Pt
0.2301 0.7685 0.6134 Au
0.2315 0.3866 0.7699 Au
0.3866 0.7699 0.2315 Au
0.6134 0.2301 0.7685 Au
0.7685 0.6134 0.2301 Au
0.7699 0.2315 0.3866 Au
```

Peak list (6 most intense, 10° ≤ 2θ ≤ 90°, low angle first)
| two_theta | I (rel.) |
| --- | --- |
| 38.04 | 264 |
| 38.31 | 1000 |
| 40.32 | 377 |
| 40.46 | 406 |
| 42.50 | 155 |
| 72.18 | 135 |

(3)
This entry pairs a crystal structure of LaTh2Se4 with its computed PXRD pattern. Radiation: Cu Ka. Structure: a GGA-PBE-relaxed structure.
No peak broadening, texture or thermal motion is included.

Atomic structure:
```
LaTh2Se4
1.0
-4.4559 4.4559 4.4947
4.4559 -4.4559 4.4947
4.4559 4.4559 -4.4947
La Th Se
2 4 8
direct
0.0000 0.0000 0.0000 La
0.7500 0.2500 0.5000 La
0.2548 0.1250 0.6298 Th
0.3750 0.7452 0.8702 Th
0.4952 0.6250 0.3702 Th
0.8750 0.5048 0.1298 Th
0.1277 0.3796 0.9065 Se
0.1296 0.3777 0.4065 Se
0.2769 0.8704 0.2481 Se
0.4731 0.2212 0.0935 Se
0.6204 0.5269 0.7481 Se
0.6223 0.0288 0.7519 Se
0.7788 0.8723 0.2519 Se
0.9712 0.7231 0.5935 Se
```

Peak list (6 most intense, 10° ≤ 2θ ≤ 90°, low angle first)
| two_theta | I (rel.) |
| --- | --- |
| 24.43 | 483 |
| 31.50 | 459 |
| 31.74 | 1000 |
| 37.55 | 434 |
| 37.72 | 588 |
| 45.47 | 339 |

(4)
This entry pairs a crystal structure of YCuGe2Pt4 with its computed PXRD pattern. Radiation: Cu Ka. Structure: a GGA-PBE-relaxed structure.
No peak broadening, texture or thermal motion is included.

Atomic structure:
```
YCuGe2Pt4
1.0
2.1330 1.2315 8.7390
-2.1330 1.2315 8.7390
0.0000 -2.4630 8.7390
Y Cu Ge Pt
1 1 2 4
direct
0.0000 0.0000 0.0000 Y
0.5000 0.5000 0.5000 Cu
0.2445 0.2445 0.2445 Ge
0.7555 0.7555 0.7555 Ge
0.1348 0.1348 0.1348 Pt
0.4026 0.4026 0.4026 Pt
0.5974 0.5974 0.5974 Pt
0.8652 0.8652 0.8652 Pt
```

Peak list (6 most intense, 10° ≤ 2θ ≤ 90°, low angle first)
| two_theta | I (rel.) |
| --- | --- |
| 10.12 | 375 |
| 27.72 | 332 |
| 34.09 | 396 |
| 36.66 | 656 |
| 42.37 | 1000 |
| 45.28 | 415 |

(5)
This entry pairs a crystal structure of Pr4GaSbS9 with its computed PXRD pattern. Radiation: Cu Ka. Structure: a GGA-PBE-relaxed structure.
No peak broadening, texture or thermal motion is included.

Atomic structure:
```
Pr4GaSbS9
1.0
13.9362 0.0000 0.0000
0.0000 7.1720 7.3275
0.0000 -7.1720 7.3275
Pr Ga Sb S
16 4 4 36
direct
0.1000 0.1739 0.8261 Pr
0.1050 0.6639 0.4407 Pr
0.1820 0.4486 0.1168 Pr
0.1863 0.9022 0.1189 Pr
0.3137 0.4022 0.6189 Pr
0.3180 0.9486 0.6168 Pr
0.3950 0.1639 0.9407 Pr
0.4000 0.6739 0.3261 Pr
0.6000 0.3261 0.6739 Pr
0.6050 0.9407 0.1639 Pr
0.6820 0.6168 0.9486 Pr
0.6863 0.6189 0.4022 Pr
0.8137 0.1189 0.9022 Pr
0.8180 0.1168 0.4486 Pr
0.8950 0.4407 0.6639 Pr
0.9000 0.8261 0.1739 Pr
0.0927 0.1676 0.3762 Ga
0.4073 0.6676 0.8762 Ga
0.5927 0.8762 0.6676 Ga
0.9073 0.3762 0.1676 Ga
0.1130 0.6556 0.8134 Sb
0.3870 0.1556 0.3134 Sb
0.6130 0.3134 0.1556 Sb
0.8870 0.8134 0.6556 Sb
0.0000 0.3586 0.3586 S
0.0000 0.9974 0.9974 S
0.0049 0.3725 0.9863 S
0.0700 0.6782 0.1713 S
0.0801 0.8386 0.6574 S
0.1001 0.4752 0.6560 S
0.1884 0.1709 0.5617 S
0.2010 0.1734 0.2026 S
0.2471 0.8502 0.3819 S
0.2474 0.9894 0.8717 S
0.2529 0.3502 0.8819 S
0.2526 0.4894 0.3717 S
0.2990 0.6734 0.7026 S
0.3116 0.6709 0.0617 S
0.3999 0.9752 0.1560 S
0.4199 0.3386 0.1574 S
0.4300 0.1782 0.6713 S
0.4951 0.8725 0.4863 S
0.5000 0.4974 0.4974 S
0.5000 0.8586 0.8586 S
0.5049 0.4863 0.8725 S
0.5700 0.6713 0.1782 S
0.5801 0.1574 0.3386 S
0.6001 0.1560 0.9752 S
0.6884 0.0617 0.6709 S
0.7010 0.7026 0.6734 S
0.7474 0.3717 0.4894 S
0.7471 0.8819 0.3502 S
0.7529 0.3819 0.8502 S
0.7526 0.8717 0.9894 S
0.7990 0.2026 0.1734 S
0.8116 0.5617 0.1709 S
0.8999 0.6560 0.4752 S
0.9199 0.6574 0.8386 S
0.9300 0.1713 0.6782 S
0.9951 0.9863 0.3725 S
```

Peak list (6 most intense, 10° ≤ 2θ ≤ 90°, low angle first)
| two_theta | I (rel.) |
| --- | --- |
| 24.29 | 629 |
| 25.62 | 440 |
| 25.88 | 1000 |
| 35.01 | 424 |
| 35.59 | 534 |
| 49.09 | 436 |

(6)
This entry pairs a crystal structure of Ca6Cu2Sn7 with its computed PXRD pattern. Radiation: Cu Ka. Structure: a GGA-PBE-relaxed structure.
No peak broadening, texture or thermal motion is included.

Atomic structure:
```
Ca6Cu2Sn7
1.0
7.1378 -2.3023 0.0000
7.1378 2.3023 0.0000
-0.8593 0.0000 12.4132
Ca Cu Sn
6 2 7
direct
0.0389 0.0389 0.2013 Ca
0.1364 0.1364 0.5014 Ca
0.3041 0.3041 0.2055 Ca
0.6959 0.6959 0.7945 Ca
0.8636 0.8636 0.4986 Ca
0.9611 0.9611 0.7987 Ca
0.3293 0.3293 0.8885 Cu
0.6707 0.6707 0.1115 Cu
0.1589 0.1589 0.9816 Sn
0.3168 0.3168 0.6752 Sn
0.4884 0.4884 0.3814 Sn
0.5000 0.5000 0.0000 Sn
0.5116 0.5116 0.6186 Sn
0.6832 0.6832 0.3248 Sn
0.8411 0.8411 0.0184 Sn
```

Peak list (6 most intense, 10° ≤ 2θ ≤ 90°, low angle first)
| two_theta | I (rel.) |
| --- | --- |
| 29.37 | 442 |
| 30.01 | 1000 |
| 31.27 | 481 |
| 35.81 | 713 |
| 37.11 | 562 |
| 39.13 | 626 |

(7)
This entry pairs a crystal structure of Pa3Cu with its computed PXRD pattern. Radiation: Cu Ka. Structure: a GGA-PBE-relaxed structure.
No peak broadening, texture or thermal motion is included.

Atomic structure:
```
Pa3Cu
1.0
5.2933 0.0000 0.0000
0.0000 5.2933 0.0000
0.0000 0.0000 3.1512
Pa Cu
3 1
direct
0.0000 0.0000 0.0000 Pa
0.0000 0.5000 0.5000 Pa
0.5000 0.0000 0.5000 Pa
0.5000 0.5000 0.0000 Cu
```

Peak list (6 most intense, 10° ≤ 2θ ≤ 90°, low angle first)
| two_theta | I (rel.) |
| --- | --- |
| 16.75 | 151 |
| 33.87 | 646 |
| 37.30 | 1000 |
| 48.65 | 238 |
| 62.87 | 447 |
| 69.42 | 167 |

(8)
This entry pairs a crystal structure of Y2Ag with its computed PXRD pattern. Radiation: Cu Ka. Structure: a GGA-PBE-relaxed structure.
No peak broadening, texture or thermal motion is included.

Atomic structure:
```
Y2Ag
1.0
3.6806 0.0000 0.0000
0.0000 16.6062 0.0000
0.0000 0.0000 5.3020
Y Ag
8 4
direct
0.0000 0.0803 0.2500 Y
0.0000 0.2224 0.7500 Y
0.0000 0.7776 0.2500 Y
0.0000 0.9197 0.7500 Y
0.5000 0.2776 0.2500 Y
0.5000 0.4197 0.7500 Y
0.5000 0.5803 0.2500 Y
0.5000 0.7224 0.7500 Y
0.0000 0.4253 0.2500 Ag
0.0000 0.5747 0.7500 Ag
0.5000 0.0747 0.7500 Ag
0.5000 0.9253 0.2500 Ag
```

Peak list (6 most intense, 10° ≤ 2θ ≤ 90°, low angle first)
| two_theta | I (rel.) |
| --- | --- |
| 32.35 | 165 |
| 33.79 | 1000 |
| 47.49 | 109 |
| 60.45 | 189 |
| 61.32 | 72 |
| 71.07 | 85 |

(9)
This entry pairs a crystal structure of CsBaTl2O4 with its computed PXRD pattern. Radiation: Cu Ka. Structure: a GGA-PBE-relaxed structure.
No peak broadening, texture or thermal motion is included.

Atomic structure:
```
CsBaTl2O4
1.0
4.5676 0.0000 0.0000
0.0000 4.5676 0.0000
0.0000 0.0000 8.2875
Cs Ba Tl O
1 1 2 4
direct
0.0000 0.0000 0.0000 Cs
0.0000 0.0000 0.5000 Ba
0.5000 0.5000 0.2726 Tl
0.5000 0.5000 0.7274 Tl
0.0000 0.5000 0.2873 O
0.0000 0.5000 0.7127 O
0.5000 0.0000 0.2873 O
0.5000 0.0000 0.7127 O
```

Peak list (6 most intense, 10° ≤ 2θ ≤ 90°, low angle first)
| two_theta | I (rel.) |
| --- | --- |
| 27.62 | 477 |
| 29.10 | 1000 |
| 39.46 | 280 |
| 49.77 | 456 |
| 52.47 | 149 |
| 60.32 | 123 |